(1)
Theoretical powder diffraction line list of LaBiO3 for copper Kα, from a PBE-relaxed structure.

Crystal structure
```
data_LaBiO3
_chemical_formula_sum 'La6 Bi6 O18'
_space_group_name_H-M_alt 'R 3 c'
_space_group_IT_number 161
_space_group_name_Hall 'R 3 -2"c'
_cell_length_a 6.2716
_cell_length_b 6.2716
_cell_length_c 15.3631
_cell_angle_alpha 90.00
_cell_angle_beta 90.00
_cell_angle_gamma 120.00
loop_
_atom_site_label
_atom_site_fract_x
_atom_site_fract_y
_atom_site_fract_z
La1 0.0000 0.0000 0.0000
Bi1 0.0000 0.0000 0.2202
O1 0.0035 0.2758 0.1200
```

Peak list (10 most intense, 2θ = 15–90°, sorted by position)
| Position (°2θ) | d (Å) | I (rel.) | (hkl) |
| --- | --- | --- | --- |
| 20.02 | 4.435 | 12 | 0 1 2 |
| 28.46 | 3.136 | 100 | 1 1 0 |
| 40.69 | 2.217 | 22 | 0 2 4 |
| 45.75 | 1.983 | 15 | 1 1 6 |
| 50.40 | 1.810 | 45 | 3 0 0 |
| 58.90 | 1.568 | 11 | 2 2 0 |
| 62.87 | 1.478 | 9 | 1 0 10 |
| 66.70 | 1.402 | 15 | 1 3 4 |
| 70.42 | 1.337 | 7 | 0 2 10 |
| 81.15 | 1.185 | 18 | 4 1 0 |

(2)
Theoretical powder diffraction line list of Sc2O3 for copper Kα, from a PBE-relaxed structure.

Crystal structure
```
data_Sc2O3
_chemical_formula_sum 'Sc12 O18'
_space_group_name_H-M_alt 'R -3 c'
_space_group_IT_number 167
_space_group_name_Hall '-R 3 2"c'
_cell_length_a 5.3707
_cell_length_b 5.3707
_cell_length_c 14.3854
_cell_angle_alpha 90.00
_cell_angle_beta 90.00
_cell_angle_gamma 120.00
loop_
_atom_site_label
_atom_site_fract_x
_atom_site_fract_y
_atom_site_fract_z
Sc1 0.0000 0.0000 0.1443
O1 0.0000 0.2999 0.2500
```

Peak list (10 most intense, 2θ = 15–90°, sorted by position)
| Position (°2θ) | d (Å) | I (rel.) | (hkl) |
| --- | --- | --- | --- |
| 22.77 | 3.906 | 36 | 0 1 2 |
| 31.44 | 2.845 | 100 | 1 0 4 |
| 33.37 | 2.685 | 68 | 1 1 0 |
| 38.42 | 2.343 | 35 | 1 1 3 |
| 46.50 | 1.953 | 46 | 0 2 4 |
| 51.07 | 1.788 | 56 | 1 1 6 |
| 54.73 | 1.677 | 11 | 0 1 8 |
| 58.43 | 1.579 | 38 | 2 1 4 |
| 59.64 | 1.550 | 41 | 3 0 0 |
| 68.25 | 1.374 | 17 | 1 0 10 |

(3)
Theoretical powder diffraction line list of Nb3N2Cl7O5 for copper Kα, from a PBE-relaxed structure.

Crystal structure
```
data_Nb3N2Cl7O5
_chemical_formula_sum 'Nb12 N8 Cl28 O20'
_space_group_name_H-M_alt 'C 1 2/c 1'
_space_group_IT_number 15
_cell_length_a 18.709
_cell_length_b 8.769
_cell_length_c 11.032
_cell_angle_alpha 90.00
_cell_angle_beta 104.62
_cell_angle_gamma 90.00
loop_
_space_group_symop_operation_xyz
'x,y,z'
'-x,-y,-z'
'-x,y,-z+1/2'
'x,-y,z+1/2'
'x+1/2,y+1/2,z'
'-x+1/2,-y+1/2,-z'
'-x+1/2,y+1/2,-z+1/2'
'x+1/2,-y+1/2,z+1/2'
loop_
_atom_site_label
_atom_site_fract_x
_atom_site_fract_y
_atom_site_fract_z
Nb1 0.000 0.043 0.250
Nb2 0.028 0.291 0.547
N1 0.184 0.483 0.886
Cl1 0.000 0.412 0.750
Cl2 0.130 0.077 0.301
Cl3 0.154 0.275 0.604
Cl4 0.171 0.350 0.979
O1 0.000 0.500 0.000
O2 0.001 0.111 0.874
O3 0.003 0.212 0.390
```

Peak list (10 most intense, 2θ = 15–90°, sorted by position)
| Position (°2θ) | d (Å) | I (rel.) | (hkl) |
| --- | --- | --- | --- |
| 18.05 | 4.914 | 20 | 3 1 -1 |
| 19.02 | 4.666 | 48 | 1 1 -2 |
| 19.61 | 4.526 | 27 | 4 0 0 |
| 21.10 | 4.211 | 32 | 1 1 2 |
| 21.92 | 4.056 | 34 | 0 2 1 |
| 26.31 | 3.387 | 100 | 0 2 2 |
| 26.58 | 3.354 | 69 | 2 2 -2 |
| 29.61 | 3.017 | 57 | 6 0 0 |
| 30.99 | 2.886 | 22 | 1 3 0 |
| 32.48 | 2.756 | 25 | 2 0 -4 |